Diffraction record for KBa2CaS. The powder X-ray diffraction pattern is calculated, not measured: it uses a structure optimized by DFT (PBE) and Cu Ka.
Intensities are scaled so that the largest is 100.

Structural model:
```
KBa2CaS
1.0
6.539 0.000 0.000
0.000 6.539 0.000
0.000 0.000 5.599
K Ba Ca S
1 2 1 1
Direct
0.000 0.000 0.000
0.000 0.500 0.500
0.500 0.000 0.500
0.500 0.500 0.000
0.500 0.500 0.500
```

Top 10 peaks for 2θ from 10° to 90°, by angle:
5.599 Å, I 33
4.624 Å, I 19
3.565 Å, I 100
3.269 Å, I 60
2.823 Å, I 25
2.799 Å, I 19
2.312 Å, I 22
2.126 Å, I 34
1.940 Å, I 35
1.783 Å, I 19